Diffraction record for MgZn2P4H16O20. The PXRD pattern is computed, not measured: it uses a structure optimized by DFT (GGA-PBE) and Cu Kα (weighted mean of Kα1 and Kα2).

Structure:
Cell: 7.075 7.449 9.311 Å, 105.17 103.91 97.80°
Space group P-1 (No. 2)
Symmetry-distinct sites (fractional):
Mg 0.000 0.000 0.000 (multiplicity 1)
Zn 0.000 0.000 0.500 (multiplicity 1)
Zn 0.000 0.500 0.000 (multiplicity 1)
P 0.246 0.632 0.413 (multiplicity 2)
P 0.358 0.423 0.648 (multiplicity 2)
H 0.087 0.198 0.326 (multiplicity 2)
H 0.211 0.284 0.856 (multiplicity 2)
H 0.223 0.045 0.312 (multiplicity 2)
H 0.311 0.677 0.922 (multiplicity 2)
H 0.312 0.346 0.043 (multiplicity 2)
H 0.327 0.813 0.093 (multiplicity 2)
H 0.439 0.958 0.663 (multiplicity 2)
H 0.453 0.129 0.215 (multiplicity 2)
O 0.087 0.065 0.322 (multiplicity 2)
O 0.123 0.542 0.249 (multiplicity 2)
O 0.183 0.303 0.959 (multiplicity 2)
O 0.217 0.819 0.509 (multiplicity 2)
O 0.219 0.473 0.503 (multiplicity 2)
O 0.231 0.259 0.672 (multiplicity 2)
O 0.236 0.713 0.999 (multiplicity 2)
O 0.435 0.018 0.253 (multiplicity 2)
O 0.455 0.599 0.785 (multiplicity 2)
O 0.483 0.667 0.431 (multiplicity 2)

Main lines, by intensity (2θ = 10–80°):
| 2θ/deg | d (Å) | Rel. int. | hkl |
| --- | --- | --- | --- |
| 10.28 | 8.605 | 100 | 0 0 1 |
| 27.44 | 3.250 | 80 | -2 1 1 |
| 12.60 | 7.026 | 68 | 0 1 0 |
| 19.22 | 4.618 | 58 | 1 -1 1 |
| 26.00 | 3.427 | 58 | 1 1 1 |
| 20.65 | 4.302 | 55 | 0 0 2 |
| 30.28 | 2.952 | 53 | 1 2 -2 |
| 13.61 | 6.504 | 51 | 0 1 -1 |
| 21.07 | 4.217 | 46 | 1 0 -2 |
| 13.19 | 6.712 | 45 | 1 0 0 |
| 32.77 | 2.733 | 39 | 2 -2 0 |
| 18.79 | 4.722 | 39 | 1 1 -1 |

Diffraction record for Ac2CdHg. The PXRD pattern is computed, not measured: it uses a structure optimized by DFT (GGA-PBE) and Cu Kα (weighted mean of Kα1 and Kα2).

Structure:
Cell: 8.131 8.131 8.131 Å, 90.00 90.00 90.00°
Space group Fm-3m (No. 225)
Symmetry-distinct sites (fractional):
Ac 0.250 0.250 0.250 (multiplicity 8)
Cd 0.000 0.000 0.000 (multiplicity 4)
Hg 0.000 0.000 0.500 (multiplicity 4)

Main lines, by intensity (2θ = 10–80°):
| 2θ/deg | d (Å) | Rel. int. | hkl |
| --- | --- | --- | --- |
| 31.11 | 2.875 | 100 | 2 2 0 |
| 55.35 | 1.660 | 40 | 4 2 2 |
| 44.57 | 2.033 | 19 | 4 0 0 |
| 73.69 | 1.286 | 17 | 6 2 0 |
| 64.87 | 1.437 | 13 | 4 4 0 |
| 21.86 | 4.066 | 3 | 2 0 0 |
| 18.90 | 4.695 | 3 | 1 1 1 |
| 36.65 | 2.452 | 2 | 3 1 1 |
| 50.17 | 1.818 | 2 | 4 2 0 |
| 38.35 | 2.347 | 1 | 2 2 2 |
| 69.34 | 1.355 | 1 | 6 0 0 |
| 48.82 | 1.865 | 1 | 3 3 1 |

Diffraction record for CeMgAg2. The PXRD pattern is computed, not measured: it uses a structure optimized by DFT (GGA-PBE) and Cu Kα (weighted mean of Kα1 and Kα2).

Structure:
Cell: 7.165 7.165 7.165 Å, 90.00 90.00 90.00°
Space group Fm-3m (No. 225)
Symmetry-distinct sites (fractional):
Ce 0.000 0.000 0.000 (multiplicity 4)
Mg 0.000 0.000 0.500 (multiplicity 4)
Ag 0.250 0.250 0.250 (multiplicity 8)

Main lines, by intensity (2θ = 10–80°):
| 2θ/deg | d (Å) | Rel. int. | hkl |
| --- | --- | --- | --- |
| 35.44 | 2.533 | 100 | 2 2 0 |
| 63.62 | 1.462 | 34 | 4 2 2 |
| 21.48 | 4.137 | 20 | 1 1 1 |
| 50.99 | 1.791 | 17 | 4 0 0 |
| 41.82 | 2.160 | 11 | 3 1 1 |
| 74.99 | 1.267 | 11 | 4 4 0 |
| 55.94 | 1.644 | 5 | 3 3 1 |
| 67.99 | 1.379 | 3 | 5 1 1 |
| 79.07 | 1.211 | 3 | 5 3 1 |
| 24.85 | 3.582 | 3 | 2 0 0 |
| 57.53 | 1.602 | 1 | 4 2 0 |
| 43.77 | 2.068 | 1 | 2 2 2 |

Diffraction record for BaO10. The PXRD pattern is computed, not measured: it uses a structure optimized by DFT (GGA-PBE) and Cu Kα (weighted mean of Kα1 and Kα2).

Structure:
Cell: 10.670 7.903 9.976 Å, 90.00 112.56 90.00°
Space group P2_1/c (No. 14)
Symmetry-distinct sites (fractional):
Ba 0.174 0.219 0.241 (multiplicity 4)
O 0.025 0.227 0.922 (multiplicity 4)
O 0.030 0.525 0.205 (multiplicity 4)
O 0.056 0.632 0.111 (multiplicity 4)
O 0.207 0.639 0.490 (multiplicity 4)
O 0.269 0.584 0.614 (multiplicity 4)
O 0.314 0.201 0.558 (multiplicity 4)
O 0.328 0.531 0.927 (multiplicity 4)
O 0.360 0.035 0.560 (multiplicity 4)
O 0.397 0.014 0.858 (multiplicity 4)
O 0.403 0.638 0.333 (multiplicity 4)

Main lines, by intensity (2θ = 10–80°):
| 2θ/deg | d (Å) | Rel. int. | hkl |
| --- | --- | --- | --- |
| 14.37 | 6.165 | 100 | 1 1 0 |
| 26.80 | 3.327 | 52 | 1 1 2 |
| 35.96 | 2.497 | 43 | 4 1 -2 |
| 33.31 | 2.690 | 37 | 2 1 2 |
| 21.25 | 4.181 | 37 | 2 1 0 |
| 24.27 | 3.668 | 33 | 1 0 2 |
| 38.29 | 2.351 | 28 | 1 1 -4 |
| 23.63 | 3.765 | 28 | 2 1 -2 |
| 35.54 | 2.526 | 24 | 3 2 0 |
| 21.12 | 4.206 | 23 | 1 1 -2 |
| 35.27 | 2.545 | 23 | 1 3 0 |
| 27.51 | 3.242 | 20 | 3 1 -1 |